# TmHgF
Theoretical X-ray diffraction stick pattern, Cu Kα X-rays. Input: the PBE geometry in Alexandria.

Crystal structure
Cell: 3.8553 3.8553 4.8824 Å, 90.00 90.00 120.00°
Space group P-6m2 (No. 187)
Asymmetric unit:
Tm  0.0000  0.0000  0.0000 (multiplicity 1)
Hg  0.3333  0.6667  0.5000 (multiplicity 1)
F  0.6667  0.3333  0.0000 (multiplicity 1)

Most intense lines, 5 to 70 degrees two-theta, low angle first:
hkl 1 0 0, 2θ 26.70, intensity 21.9; hkl 1 0 1, 2θ 32.49, intensity 100.0; hkl 0 0 2, 2θ 36.82, intensity 17.5; hkl 1 0 2, 2θ 46.06, intensity 10.6; hkl 1 1 0, 2θ 47.15, intensity 26.1; hkl 2 0 1, 2θ 58.42, intensity 19.1; hkl 1 1 2, 2θ 61.27, intensity 23.8; hkl 1 0 3, 2θ 63.60, intensity 14.8